Structure and calculated powder X-ray diffraction pattern of La3PmTm12 (a DFT-relaxed cell (GGA-PBE, Alexandria); Cu Ka).
Peak positions follow from Bragg's law for the DFT cell and can differ from measured ones.

Peak list (6 most intense, 10 to 90 degrees two-theta, in order of falling intensity)
| d (Å) | intensity |
| --- | --- |
| 2.900 | 100 |
| 2.512 | 51 |
| 1.515 | 43 |
| 1.776 | 36 |
| 1.152 | 18 |
| 1.123 | 17 |

Structural model:
```
La3PmTm12
1.0
5.023 0.000 0.000
0.000 5.023 0.000
0.000 0.000 20.099
La Pm Tm
3 1 12
Cartesian
0.000 0.000 0.000
0.000 0.000 5.027
0.000 0.000 15.072
0.000 0.000 10.049
0.000 2.512 2.523
0.000 2.512 7.582
0.000 2.512 12.516
0.000 2.512 17.575
2.512 0.000 2.523
2.512 0.000 7.582
2.512 0.000 12.516
2.512 0.000 17.575
2.512 2.512 0.000
2.512 2.512 5.052
2.512 2.512 10.049
2.512 2.512 15.047
```

Structure and calculated powder X-ray diffraction pattern of Dy2Al8Au (a DFT-relaxed cell (GGA-PBE, Alexandria); Cu Ka).
Peak positions follow from Bragg's law for the DFT cell and can differ from measured ones.

Peak list (6 most intense, 10 to 90 degrees two-theta, in order of falling intensity)
| d (Å) | intensity |
| --- | --- |
| 4.321 | 100 |
| 2.374 | 95 |
| 2.841 | 68 |
| 2.161 | 41 |
| 3.056 | 33 |
| 1.720 | 33 |

Structural model:
```
Dy2Al8Au
1.0
4.321 0.000 0.000
0.000 4.321 0.000
0.000 0.000 11.310
Dy Al Au
2 8 1
Cartesian
0.000 0.000 2.081
0.000 0.000 9.229
0.000 2.161 0.000
0.000 2.161 4.166
0.000 2.161 7.144
2.161 0.000 0.000
2.161 0.000 4.166
2.161 0.000 7.144
2.161 2.161 2.193
2.161 2.161 9.117
0.000 0.000 5.655
```

Structure and calculated powder X-ray diffraction pattern of VPdPt2 (a DFT-relaxed cell (GGA-PBE, Alexandria); Cu Ka).
Peak positions follow from Bragg's law for the DFT cell and can differ from measured ones.

Peak list (6 most intense, 10 to 90 degrees two-theta, in order of falling intensity)
| d (Å) | intensity |
| --- | --- |
| 2.284 | 100 |
| 1.919 | 58 |
| 2.315 | 56 |
| 2.503 | 47 |
| 2.707 | 44 |
| 1.699 | 30 |

Structural model:
```
VPdPt2
1.0
2.315 -5.007 0.000
2.315 5.007 0.000
0.000 0.000 5.442
V Pd Pt
2 2 4
Cartesian
2.315 3.355 4.082
2.315 -3.355 1.361
2.315 4.186 1.361
2.315 -4.186 4.082
2.315 1.361 0.048
2.315 1.361 2.674
2.315 -1.361 2.769
2.315 -1.361 5.395
```

Structure and calculated powder X-ray diffraction pattern of Ba2AlGa10 (a DFT-relaxed cell (GGA-PBE, Alexandria); Cu Ka).
Peak positions follow from Bragg's law for the DFT cell and can differ from measured ones.

Peak list (6 most intense, 10 to 90 degrees two-theta, in order of falling intensity)
| d (Å) | intensity |
| --- | --- |
| 1.871 | 100 |
| 2.855 | 83 |
| 3.217 | 61 |
| 2.603 | 47 |
| 3.940 | 30 |
| 2.073 | 30 |

Structural model:
```
Ba2AlGa10
1.0
7.619 0.000 0.000
0.000 14.347 0.000
0.000 0.000 6.004
Ba Al Ga
4 2 20
Cartesian
1.760 2.302 0.000
2.050 9.476 0.000
5.569 4.871 0.000
5.859 12.045 0.000
0.000 0.000 3.002
3.809 7.174 3.002
0.421 11.774 3.002
0.535 4.837 3.002
1.289 7.737 3.002
1.755 13.112 1.212
1.755 13.112 4.792
2.055 5.938 1.212
2.055 5.938 4.792
2.520 0.563 3.002
3.275 12.011 3.002
3.388 4.601 3.002
4.231 9.747 3.002
4.344 2.336 3.002
5.098 13.784 3.002
5.564 8.409 1.212
5.564 8.409 4.792
5.864 1.236 1.212
5.864 1.236 4.792
6.330 6.611 3.002
7.084 9.510 3.002
7.198 2.573 3.002
```

Structure and calculated powder X-ray diffraction pattern of Mg3In3Pb2 (a DFT-relaxed cell (GGA-PBE, Alexandria); Cu Ka).
Peak positions follow from Bragg's law for the DFT cell and can differ from measured ones.

Peak list (6 most intense, 10 to 90 degrees two-theta, in order of falling intensity)
| d (Å) | intensity |
| --- | --- |
| 2.707 | 100 |
| 3.400 | 26 |
| 4.477 | 24 |
| 2.410 | 18 |
| 2.398 | 18 |
| 1.437 | 14 |

Structural model:
```
Mg3In3Pb2
1.0
4.796 0.000 0.000
0.000 4.819 0.000
0.000 0.000 8.954
Mg In Pb
3 3 2
Cartesian
0.000 0.000 0.000
0.000 0.000 4.477
2.398 2.410 0.000
0.000 2.410 2.167
0.000 2.410 6.786
2.398 2.410 4.477
2.398 0.000 2.124
2.398 0.000 6.829
```

Structure and calculated powder X-ray diffraction pattern of Tm4FeSe2 (a DFT-relaxed cell (GGA-PBE, Alexandria); Cu Ka).
Peak positions follow from Bragg's law for the DFT cell and can differ from measured ones.

Peak list (6 most intense, 10 to 90 degrees two-theta, in order of falling intensity)
| d (Å) | intensity |
| --- | --- |
| 3.049 | 100 |
| 2.194 | 59 |
| 2.783 | 56 |
| 2.841 | 55 |
| 2.627 | 53 |
| 1.941 | 33 |

Structural model:
```
Tm4FeSe2
1.0
1.882 -6.497 0.000
1.882 6.497 0.000
0.000 0.000 13.810
Tm Fe Se
8 2 4
Cartesian
0.000 0.000 0.000
0.000 0.000 6.905
1.882 2.637 8.721
1.882 2.637 11.994
1.882 0.565 3.453
1.882 -0.565 10.358
1.882 -2.637 1.816
1.882 -2.637 5.089
1.882 5.146 3.453
1.882 -5.146 10.358
1.882 1.851 0.908
1.882 1.851 5.997
1.882 -1.851 7.813
1.882 -1.851 12.902
```

Structure and calculated powder X-ray diffraction pattern of Nd2MgB2Rh5 (a DFT-relaxed cell (GGA-PBE, Alexandria); Cu Ka).
Peak positions follow from Bragg's law for the DFT cell and can differ from measured ones.

Peak list (6 most intense, 10 to 90 degrees two-theta, in order of falling intensity)
| d (Å) | intensity |
| --- | --- |
| 2.604 | 100 |
| 2.379 | 89 |
| 2.239 | 66 |
| 2.082 | 32 |
| 2.193 | 30 |
| 2.366 | 28 |

Structural model:
```
Nd2MgB2Rh5
1.0
9.808 0.000 0.000
0.000 9.808 0.000
0.000 0.000 3.236
Nd Mg B Rh
4 2 4 10
Cartesian
1.734 3.170 0.000
3.170 8.074 0.000
6.638 1.734 0.000
8.074 6.638 0.000
0.000 0.000 0.000
4.904 4.904 0.000
1.193 6.097 0.000
3.711 1.193 0.000
6.097 8.616 0.000
8.616 3.711 0.000
0.000 4.904 1.618
0.685 7.571 1.618
2.237 0.685 1.618
2.667 5.589 1.618
4.219 2.667 1.618
4.904 0.000 1.618
5.589 7.141 1.618
7.141 4.219 1.618
7.571 9.123 1.618
9.123 2.237 1.618
```

Structure and calculated powder X-ray diffraction pattern of MgCoBr4 (a DFT-relaxed cell (GGA-PBE, Alexandria); Cu Ka).
Peak positions follow from Bragg's law for the DFT cell and can differ from measured ones.

Peak list (6 most intense, 10 to 90 degrees two-theta, in order of falling intensity)
| d (Å) | intensity |
| --- | --- |
| 2.771 | 100 |
| 7.077 | 96 |
| 1.907 | 50 |
| 2.876 | 48 |
| 3.179 | 47 |
| 2.097 | 28 |

Structural model:
```
MgCoBr4
1.0
7.113 -1.907 0.000
7.113 1.907 0.000
-0.664 0.000 6.584
Mg Co Br
1 1 4
Cartesian
0.000 0.000 0.000
6.781 0.000 3.292
1.207 0.000 2.395
5.516 0.000 0.996
8.046 0.000 5.589
12.355 0.000 4.189
```